The following is a simulated powder diffraction line list of CaMnPdRh2. It was derived from a crystal structure in Alexandria, relaxed with PBE, using CuKα.

Largest 10 diffraction maxima, in order of rising 2θ, 2θ from 10° to 90°:
d (Å)  I (rel.)
4.845  8
3.351  14
2.717  100
2.423  28
2.320  50
1.676  35
1.640  16
1.449  14
1.404  25
1.358  17

Structure:
Cell lengths 4.6396, 4.6396, 4.8454 Å; angles 90.00, 90.00, 90.00 degrees
Fractional coordinates of all 5 atoms:
Ca1 0.0000 0.0000 0.0000
Mn1 0.0000 0.0000 0.5000
Pd1 0.5000 0.5000 0.5000
Rh1 0.0000 0.5000 0.0000
Rh2 0.5000 0.0000 0.0000

The following is a simulated powder diffraction line list of Ca2MnZn2Pt5. It was derived from a crystal structure in Alexandria, relaxed with PBE, using CuKα.

Largest 10 diffraction maxima, in order of rising 2θ, 2θ from 10° to 90°:
d (Å)  I (rel.)
4.334  30
3.737  52
3.064  19
2.370  100
2.350  45
2.182  51
1.989  32
1.869  27
1.463  20
1.445  19

Structure:
Cell lengths 9.6901, 9.6901, 3.7371 Å; angles 90.00, 90.00, 90.00 degrees
Fractional coordinates of all 20 atoms:
Ca1 0.1749 0.3251 0.0000
Ca2 0.3251 0.8251 0.0000
Ca3 0.6749 0.1749 0.0000
Ca4 0.8251 0.6749 0.0000
Mn1 0.0000 0.0000 0.0000
Mn2 0.5000 0.5000 0.0000
Zn1 0.1254 0.6254 0.0000
Zn2 0.3746 0.1254 0.0000
Zn3 0.6254 0.8746 0.0000
Zn4 0.8746 0.3746 0.0000
Pt1 0.0000 0.5000 0.5000
Pt2 0.0624 0.7992 0.5000
Pt3 0.2008 0.0624 0.5000
Pt4 0.2992 0.5624 0.5000
Pt5 0.4376 0.2992 0.5000
Pt6 0.5000 0.0000 0.5000
Pt7 0.5624 0.7008 0.5000
Pt8 0.7008 0.4376 0.5000
Pt9 0.7992 0.9376 0.5000
Pt10 0.9376 0.2008 0.5000

The following is a simulated powder diffraction line list of CaMnRe4. It was derived from a crystal structure in Alexandria, relaxed with PBE, using CuKα.

Largest 10 diffraction maxima, in order of rising 2θ, 2θ from 10° to 90°:
d (Å)  I (rel.)
4.322  83
2.257  100
2.161  83
1.871  31
1.717  21
1.441  32
1.323  33
1.265  16
1.142  11
1.129  33

Structure:
Cell lengths 5.2933, 5.2933, 5.2933 Å; angles 60.00, 60.00, 60.00 degrees
Fractional coordinates of all 6 atoms:
Ca1 0.0000 0.0000 0.0000
Mn1 0.7500 0.7500 0.7500
Re1 0.3757 0.3757 0.3757
Re2 0.3757 0.3757 0.8730
Re3 0.3757 0.8730 0.3757
Re4 0.8730 0.3757 0.3757

Repeat the first record exactly.
The following is a simulated powder diffraction line list of CaMnPdRh2. It was derived from a crystal structure in Alexandria, relaxed with PBE, using CuKα.

Largest 10 diffraction maxima, in order of rising 2θ, 2θ from 10° to 90°:
d (Å)  I (rel.)
4.845  8
3.351  14
2.717  100
2.423  28
2.320  50
1.676  35
1.640  16
1.449  14
1.404  25
1.358  17

Structure:
Cell lengths 4.6396, 4.6396, 4.8454 Å; angles 90.00, 90.00, 90.00 degrees
Fractional coordinates of all 5 atoms:
Ca1 0.0000 0.0000 0.0000
Mn1 0.0000 0.0000 0.5000
Pd1 0.5000 0.5000 0.5000
Rh1 0.0000 0.5000 0.0000
Rh2 0.5000 0.0000 0.0000